No. 1
For BiPd2Pb, a structure optimized by DFT (GGA-PBE) gives the calculated powder diffraction line list in this record (Cu Ka).
Intensities are scaled so that the largest is 100.

Cell: 5.7475 5.7475 5.6688 Å, 101.70 101.70 100.74°
Positions (direct):
Bi (0.2258, 0.7742, 0.0000)
Bi (0.7742, 0.2258, 0.0000)
Pd (0.1085, 0.6212, 0.4430)
Pd (0.3195, 0.3195, 0.1084)
Pd (0.6212, 0.1085, 0.4430)
Pd (0.7276, 0.7276, 0.0961)
Pb (0.1528, 0.1528, 0.5616)
Pb (0.6398, 0.6398, 0.5654)

Largest 6 diffraction maxima, in order of falling intensity, 15° ≤ 2θ ≤ 90°:
two_theta	Rel. int.
32.79	100
40.77	55
33.34	35
40.59	23
53.66	22
26.08	21

No. 2
For BiPd2Pb, a structure optimized by DFT (GGA-PBE) gives the calculated powder diffraction line list in this record (Cu Ka).
Intensities are scaled so that the largest is 100.

Cell: 5.7543 5.7543 10.7324 Å, 90.00 90.00 78.98°
Positions (direct):
Bi (0.1038, 0.3481, 0.0000)
Bi (0.3481, 0.1038, 0.5000)
Bi (0.6519, 0.8962, 0.0000)
Bi (0.8962, 0.6519, 0.5000)
Pd (0.1245, 0.3659, 0.2786)
Pd (0.1731, 0.8269, 0.9505)
Pd (0.3659, 0.1245, 0.7786)
Pd (0.4172, 0.5828, 0.4450)
Pd (0.5828, 0.4172, 0.9450)
Pd (0.6341, 0.8755, 0.2786)
Pd (0.8269, 0.1731, 0.4505)
Pd (0.8755, 0.6341, 0.7786)
Pb (0.1366, 0.8634, 0.2231)
Pb (0.3777, 0.6223, 0.7138)
Pb (0.6223, 0.3777, 0.2138)
Pb (0.8634, 0.1366, 0.7231)

Largest 6 diffraction maxima, in order of falling intensity, 15° ≤ 2θ ≤ 90°:
two_theta	Rel. int.
32.79	100
40.68	78
33.40	34
35.08	32
53.60	28
39.23	24

No. 3
For BiPtPb3, a structure optimized by DFT (GGA-PBE) gives the calculated powder diffraction line list in this record (Cu Ka).
Intensities are scaled so that the largest is 100.

Cell: 11.6962 11.6962 4.1776 Å, 90.00 90.00 90.00°
Positions (direct):
Bi (0.2061, 0.2061, 0.0000)
Bi (0.2939, 0.7061, 0.5000)
Bi (0.7061, 0.2939, 0.5000)
Bi (0.7939, 0.7939, 0.0000)
Pt (0.0868, 0.0868, 0.5000)
Pt (0.4132, 0.5868, 0.0000)
Pt (0.5868, 0.4132, 0.0000)
Pt (0.9132, 0.9132, 0.5000)
Pb (0.0027, 0.3297, 0.5000)
Pb (0.1026, 0.8974, 0.0000)
Pb (0.1703, 0.5027, 0.0000)
Pb (0.3297, 0.0027, 0.5000)
Pb (0.3974, 0.3974, 0.5000)
Pb (0.4973, 0.8297, 0.0000)
Pb (0.5027, 0.1703, 0.0000)
Pb (0.6026, 0.6026, 0.5000)
Pb (0.6703, 0.9973, 0.5000)
Pb (0.8297, 0.4973, 0.0000)
Pb (0.8974, 0.1026, 0.0000)
Pb (0.9973, 0.6703, 0.5000)

Largest 6 diffraction maxima, in order of falling intensity, 15° ≤ 2θ ≤ 90°:
two_theta	Rel. int.
31.38	100
32.33	61
32.48	36
39.28	33
40.70	29
34.29	29

No. 4
For Bi2PbSe4, a structure optimized by DFT (GGA-PBE) gives the calculated powder diffraction line list in this record (Cu Ka).
Intensities are scaled so that the largest is 100.

Cell: 13.6175 13.6175 13.6175 Å, 17.93 17.93 17.93°
Positions (direct):
Bi (0.0723, 0.0723, 0.0723)
Bi (0.9277, 0.9277, 0.9277)
Pb (0.5000, 0.5000, 0.5000)
Se (0.2131, 0.2131, 0.2131)
Se (0.3676, 0.3676, 0.3676)
Se (0.6324, 0.6324, 0.6324)
Se (0.7869, 0.7869, 0.7869)

Largest 6 diffraction maxima, in order of falling intensity, 15° ≤ 2θ ≤ 90°:
two_theta	Rel. int.
28.84	100
39.84	38
42.59	37
52.25	19
69.62	17
24.62	15

No. 5
For Bi4Pb7Se13, a structure optimized by DFT (GGA-PBE) gives the calculated powder diffraction line list in this record (Cu Ka).
Intensities are scaled so that the largest is 100.

Cell: 7.4679 7.4679 23.9384 Å, 97.00 97.00 33.47°
Positions (direct):
Bi (0.0615, 0.0615, 0.3773)
Bi (0.2485, 0.2485, 0.0867)
Bi (0.7515, 0.7515, 0.9133)
Bi (0.9385, 0.9385, 0.6227)
Pb (0.0108, 0.0108, 0.8368)
Pb (0.2327, 0.2327, 0.7181)
Pb (0.3535, 0.3535, 0.4580)
Pb (0.5000, 0.5000, 0.0000)
Pb (0.6465, 0.6465, 0.5420)
Pb (0.7673, 0.7673, 0.2819)
Pb (0.9892, 0.9892, 0.1632)
Se (0.0000, 0.0000, 0.5000)
Se (0.1231, 0.1231, 0.2697)
Se (0.1316, 0.1316, 0.9601)
Se (0.2922, 0.2922, 0.5896)
Se (0.3577, 0.3577, 0.1932)
Se (0.3736, 0.3736, 0.8818)
Se (0.4233, 0.4233, 0.3475)
Se (0.5767, 0.5767, 0.6525)
Se (0.6264, 0.6264, 0.1182)
Se (0.6423, 0.6423, 0.8068)
Se (0.7078, 0.7078, 0.4104)
Se (0.8684, 0.8684, 0.0399)
Se (0.8769, 0.8769, 0.7303)

Largest 6 diffraction maxima, in order of falling intensity, 15° ≤ 2θ ≤ 90°:
two_theta	Rel. int.
29.35	100
29.69	74
42.02	69
23.84	66
28.41	64
24.32	64

No. 6
For Bi6Te10Pb, a structure optimized by DFT (GGA-PBE) gives the calculated powder diffraction line list in this record (Cu Ka).
Intensities are scaled so that the largest is 100.

Cell: 34.3530 34.3530 34.3530 Å, 7.53 7.53 7.53°
Positions (direct):
Bi (0.0298, 0.0298, 0.0298)
Bi (0.2054, 0.2054, 0.2054)
Bi (0.2646, 0.2646, 0.2646)
Bi (0.7354, 0.7354, 0.7354)
Bi (0.7946, 0.7946, 0.7946)
Bi (0.9702, 0.9702, 0.9702)
Te (0.0850, 0.0850, 0.0850)
Te (0.1475, 0.1475, 0.1475)
Te (0.3199, 0.3199, 0.3199)
Te (0.3826, 0.3826, 0.3826)
Te (0.4454, 0.4454, 0.4454)
Te (0.5546, 0.5546, 0.5546)
Te (0.6174, 0.6174, 0.6174)
Te (0.6801, 0.6801, 0.6801)
Te (0.8525, 0.8525, 0.8525)
Te (0.9150, 0.9150, 0.9150)
Pb (0.5000, 0.5000, 0.5000)

Largest 6 diffraction maxima, in order of falling intensity, 15° ≤ 2θ ≤ 90°:
two_theta	Rel. int.
27.19	100
39.99	38
37.63	38
49.03	20
65.05	17
61.74	15